(1)
For CdIn4Ag7, DFT lattice parameters and positions (PBE) gives the simulated powder X-ray diffraction pattern in this record (Cu Kα, 1.54184 Å).
No peak broadening, texture or thermal motion is included.

Principal peaks in the range 5 to 70 degrees two-theta, most intense first:
| 2θ (°) | d [Å] | intensity |
| --- | --- | --- |
| 37.93 | 2.372 | 100 |
| 37.52 | 2.397 | 43 |
| 38.66 | 2.329 | 32 |
| 68.52 | 1.369 | 10 |
| 54.75 | 1.677 | 9 |
| 30.41 | 2.940 | 9 |
| 39.65 | 2.273 | 8 |
| 68.01 | 1.378 | 7 |
| 32.11 | 2.788 | 6 |
| 67.45 | 1.389 | 6 |

Cell and atoms:
abc: 4.7437 5.5814 9.9436
angles: 76.22 76.23 89.91
Positions (direct):
Cd (0.0000, 0.0000, 0.0000)
In (0.1442, 0.7888, 0.7125)
In (0.3856, 0.6341, 0.2229)
In (0.6144, 0.3659, 0.7771)
In (0.8558, 0.2112, 0.2875)
Ag (0.0000, 0.5000, 0.0000)
Ag (0.2158, 0.3712, 0.5693)
Ag (0.2926, 0.9492, 0.4140)
Ag (0.4517, 0.1986, 0.0979)
Ag (0.5483, 0.8014, 0.9021)
Ag (0.7074, 0.0508, 0.5860)
Ag (0.7842, 0.6288, 0.4307)



(2)
For CuSb2Pd8, DFT lattice parameters and positions (PBE) gives the simulated powder X-ray diffraction pattern in this record (Cu Kα, 1.54184 Å).
No peak broadening, texture or thermal motion is included.

Principal peaks in the range 5 to 70 degrees two-theta, most intense first:
| 2θ (°) | d [Å] | intensity |
| --- | --- | --- |
| 39.80 | 2.265 | 100 |
| 42.92 | 2.107 | 25 |
| 39.44 | 2.285 | 14 |
| 46.61 | 1.949 | 13 |
| 49.17 | 1.853 | 11 |
| 65.21 | 1.431 | 10 |
| 67.29 | 1.392 | 8 |
| 37.19 | 2.417 | 8 |
| 33.09 | 2.707 | 6 |
| 45.29 | 2.002 | 6 |

Cell and atoms:
abc: 7.2354 7.2354 7.2354
angles: 146.14 118.38 72.20
Positions (direct):
Cu (0.0000, 0.0000, 0.0000)
Sb (0.3092, 0.3092, 0.0000)
Sb (0.6908, 0.6908, 0.0000)
Pd (0.1141, 0.8430, 0.2710)
Pd (0.1410, 0.6410, 0.5000)
Pd (0.2995, 0.5000, 0.7995)
Pd (0.4280, 0.1570, 0.2710)
Pd (0.5720, 0.8430, 0.7290)
Pd (0.7005, 0.5000, 0.2005)
Pd (0.8590, 0.3590, 0.5000)
Pd (0.8859, 0.1570, 0.7290)



(3)
For NbTlAg2S4, DFT lattice parameters and positions (PBE) gives the simulated powder X-ray diffraction pattern in this record (Cu Kα, 1.54184 Å).
No peak broadening, texture or thermal motion is included.

Principal peaks in the range 5 to 70 degrees two-theta, most intense first:
| 2θ (°) | d [Å] | intensity |
| --- | --- | --- |
| 26.67 | 3.343 | 100 |
| 47.54 | 1.913 | 41 |
| 27.03 | 3.298 | 28 |
| 46.86 | 1.939 | 28 |
| 38.55 | 2.336 | 12 |
| 38.66 | 2.329 | 12 |
| 61.34 | 1.511 | 9 |
| 54.94 | 1.671 | 9 |
| 31.73 | 2.820 | 8 |
| 62.93 | 1.477 | 8 |

Cell and atoms:
abc: 6.6924 6.6830 6.5967
angles: 60.52 60.38 59.10
Positions (direct):
Nb (0.0000, 0.0000, 0.0000)
Tl (0.4977, 0.4977, 0.5023)
Ag (0.2496, 0.2496, 0.2504)
Ag (0.7496, 0.7496, 0.7504)
S (0.0594, 0.6590, 0.3410)
S (0.3417, 0.9398, 0.6583)
S (0.6590, 0.0594, 0.9406)
S (0.9398, 0.3417, 0.0602)



(4)
For UH2Cl2, DFT lattice parameters and positions (PBE) gives the simulated powder X-ray diffraction pattern in this record (Cu Kα, 1.54184 Å).
No peak broadening, texture or thermal motion is included.

Principal peaks in the range 5 to 70 degrees two-theta, most intense first:
| 2θ (°) | d [Å] | intensity |
| --- | --- | --- |
| 11.98 | 7.389 | 100 |
| 32.66 | 2.742 | 53 |
| 28.58 | 3.124 | 44 |
| 34.90 | 2.571 | 30 |
| 43.47 | 2.082 | 24 |
| 29.43 | 3.035 | 18 |
| 51.68 | 1.769 | 17 |
| 50.08 | 1.822 | 16 |
| 40.35 | 2.235 | 14 |
| 63.52 | 1.465 | 12 |

Cell and atoms:
abc: 3.6432 3.6432 22.1658
angles: 90.00 90.00 120.00
Positions (direct):
U (0.0000, 0.0000, 0.0000)
U (0.3333, 0.6667, 0.6667)
U (0.6667, 0.3333, 0.3333)
H (0.0000, 0.0000, 0.3550)
H (0.0000, 0.0000, 0.6450)
H (0.3333, 0.6667, 0.0217)
H (0.3333, 0.6667, 0.3117)
H (0.6667, 0.3333, 0.6883)
H (0.6667, 0.3333, 0.9783)
Cl (0.0000, 0.0000, 0.2433)
Cl (0.0000, 0.0000, 0.7567)
Cl (0.3333, 0.6667, 0.4234)
Cl (0.3333, 0.6667, 0.9100)
Cl (0.6667, 0.3333, 0.0900)
Cl (0.6667, 0.3333, 0.5766)



(5)
For Tm5Ru2Rh, DFT lattice parameters and positions (PBE) gives the simulated powder X-ray diffraction pattern in this record (Cu Kα, 1.54184 Å).
No peak broadening, texture or thermal motion is included.

Principal peaks in the range 5 to 70 degrees two-theta, most intense first:
| 2θ (°) | d [Å] | intensity |
| --- | --- | --- |
| 33.87 | 2.646 | 100 |
| 35.93 | 2.499 | 48 |
| 39.46 | 2.283 | 45 |
| 56.17 | 1.638 | 19 |
| 31.21 | 2.866 | 17 |
| 35.15 | 2.553 | 16 |
| 60.62 | 1.527 | 16 |
| 67.94 | 1.380 | 13 |
| 43.02 | 2.103 | 12 |
| 39.01 | 2.309 | 11 |

Cell and atoms:
abc: 8.6046 8.6046 8.6046
angles: 130.38 130.38 72.80
Positions (direct):
Tm (0.0000, 0.0000, 0.0000)
Tm (0.0316, 0.5316, 0.8479)
Tm (0.1837, 0.0316, 0.5000)
Tm (0.3163, 0.8163, 0.8479)
Tm (0.4684, 0.3163, 0.5000)
Tm (0.5000, 0.5000, 0.0000)
Tm (0.5316, 0.6837, 0.5000)
Tm (0.6837, 0.1837, 0.1521)
Tm (0.8163, 0.9684, 0.5000)
Tm (0.9684, 0.4684, 0.1521)
Ru (0.1274, 0.3726, 0.5000)
Ru (0.3726, 0.8726, 0.2451)
Ru (0.6274, 0.1274, 0.7549)
Ru (0.8726, 0.6274, 0.5000)
Rh (0.2500, 0.2500, 0.0000)
Rh (0.7500, 0.7500, 0.0000)



(6)
For Sr4Li3Mg, DFT lattice parameters and positions (PBE) gives the simulated powder X-ray diffraction pattern in this record (Cu Kα, 1.54184 Å).
No peak broadening, texture or thermal motion is included.

Principal peaks in the range 5 to 70 degrees two-theta, most intense first:
| 2θ (°) | d [Å] | intensity |
| --- | --- | --- |
| 27.07 | 3.294 | 100 |
| 21.39 | 4.154 | 74 |
| 28.70 | 3.111 | 46 |
| 44.65 | 2.029 | 34 |
| 43.44 | 2.083 | 25 |
| 21.26 | 4.178 | 23 |
| 33.49 | 2.676 | 20 |
| 46.67 | 1.946 | 19 |
| 52.87 | 1.732 | 18 |
| 31.90 | 2.806 | 17 |

Cell and atoms:
abc: 4.4058 5.3519 13.1781
angles: 90.00 90.00 90.00
Positions (direct):
Sr (0.0000, 0.0000, 0.0000)
Sr (0.0000, 0.5000, 0.2975)
Sr (0.5000, 0.0000, 0.5011)
Sr (0.5000, 0.5000, 0.7991)
Li (0.0000, 0.5000, 0.5854)
Li (0.5000, 0.0000, 0.2158)
Li (0.5000, 0.5000, 0.0837)
Mg (0.0000, 0.0000, 0.7167)



(7)
For IrO, DFT lattice parameters and positions (PBE) gives the simulated powder X-ray diffraction pattern in this record (Cu Kα, 1.54184 Å).
No peak broadening, texture or thermal motion is included.

Principal peaks in the range 5 to 70 degrees two-theta, most intense first:
| 2θ (°) | d [Å] | intensity |
| --- | --- | --- |
| 24.10 | 3.693 | 100 |
| 41.95 | 2.154 | 84 |
| 48.96 | 1.861 | 59 |
| 37.86 | 2.376 | 54 |
| 20.62 | 4.308 | 52 |
| 33.83 | 2.650 | 41 |
| 35.97 | 2.497 | 40 |
| 45.38 | 1.998 | 39 |
| 18.67 | 4.753 | 37 |
| 30.46 | 2.934 | 33 |

Cell and atoms:
abc: 9.5050 3.6933 4.8324
angles: 90.00 90.00 90.00
Positions (direct):
Ir (0.0000, 0.0088, 0.0000)
Ir (0.2349, 0.8884, 0.6742)
Ir (0.2651, 0.1116, 0.1742)
Ir (0.5000, 0.9912, 0.5000)
Ir (0.7349, 0.1116, 0.1742)
Ir (0.7651, 0.8884, 0.6742)
O (0.0000, 0.5093, 0.0074)
O (0.1983, 0.3840, 0.5119)
O (0.3017, 0.6160, 0.0119)
O (0.5000, 0.4907, 0.5074)
O (0.6983, 0.6160, 0.0119)
O (0.8017, 0.3840, 0.5119)



(8)
For Rb3Pa3CoS8, DFT lattice parameters and positions (PBE) gives the simulated powder X-ray diffraction pattern in this record (Cu Kα, 1.54184 Å).
No peak broadening, texture or thermal motion is included.

Principal peaks in the range 5 to 70 degrees two-theta, most intense first:
| 2θ (°) | d [Å] | intensity |
| --- | --- | --- |
| 30.20 | 2.959 | 100 |
| 11.20 | 7.897 | 74 |
| 27.17 | 3.282 | 46 |
| 22.52 | 3.947 | 38 |
| 45.99 | 1.973 | 31 |
| 40.28 | 2.239 | 28 |
| 14.97 | 5.918 | 21 |
| 46.66 | 1.947 | 20 |
| 37.41 | 2.404 | 18 |
| 26.36 | 3.381 | 18 |

Cell and atoms:
abc: 7.8785 7.8888 9.1067
angles: 64.48 64.44 60.12
Positions (direct):
Rb (0.0000, 0.0000, 0.0000)
Rb (0.0000, 0.5000, 0.0000)
Rb (0.5000, 0.0000, 0.0000)
Pa (0.0000, 0.5000, 0.5000)
Pa (0.5000, 0.0000, 0.5000)
Pa (0.5000, 0.5000, 0.5000)
Co (0.0000, 0.0000, 0.5000)
S (0.2219, 0.2219, 0.3187)
S (0.2241, 0.7349, 0.3169)
S (0.2637, 0.7771, 0.6821)
S (0.2672, 0.2670, 0.6983)
S (0.7328, 0.7330, 0.3017)
S (0.7363, 0.2229, 0.3179)
S (0.7759, 0.2651, 0.6831)
S (0.7781, 0.7781, 0.6813)